Record 1
Simulated X-ray powder pattern
Compound: SrSc2P
Radiation: Cu Kα (weighted mean of Kα1 and Kα2)
Structure: the PBE geometry in Alexandria
Lines closer than 0.1° are merged.

Most intense lines, 10° ≤ 2θ ≤ 90°, most intense first:
two_theta, intensity
34.7, 100
29.6, 49
32.6, 40
26.9, 27
45.5, 23
61.4, 21
59.6, 19
16.3, 18
42.8, 15
77.5, 12

Crystal structure
```
8
Lattice="3.4841 0.0000 0.0000 0.0000 5.4881 0.0000 0.0000 0.0000 10.8436" Properties=species:S:1:pos:R:3 pbc="T T T"
Sr 0.0000 0.0000 0.0000
Sr 1.7420 2.7441 5.4218
Sc 0.0000 2.7441 1.9874
Sc 0.0000 2.7441 8.8562
Sc 1.7420 0.0000 3.4344
Sc 1.7420 0.0000 7.4092
P 0.0000 0.0000 5.4218
P 1.7420 2.7441 0.0000
```

***

Record 2
Simulated X-ray powder pattern
Compound: TlBi
Radiation: Cu Kα (weighted mean of Kα1 and Kα2)
Structure: the PBE geometry in Alexandria
Lines closer than 0.1° are merged.

Most intense lines, 10° ≤ 2θ ≤ 90°, most intense first:
two_theta, intensity
29.7, 100
31.9, 86
33.1, 37
30.8, 36
42.5, 30
62.2, 26
45.8, 21
54.9, 20
81.9, 13
68.7, 12

Crystal structure
```
12
Lattice="10.8447 0.0000 0.0000 0.0000 5.4128 0.0000 0.0000 0.0000 6.8717" Properties=species:S:1:pos:R:3 pbc="T T T"
Tl 0.0000 1.3221 0.0000
Tl 1.8594 4.1708 1.6943
Tl 3.5630 1.2419 5.1301
Tl 5.4224 4.0907 3.4359
Tl 7.2817 1.2419 5.1301
Tl 8.9853 4.1708 1.6943
Bi 0.0000 1.6502 3.3984
Bi 1.5577 3.8996 5.1172
Bi 3.8646 1.5132 1.6813
Bi 5.4224 3.7626 6.8343
Bi 6.9801 1.5132 1.6813
Bi 9.2870 3.8996 5.1172
```

***

Record 3
Simulated X-ray powder pattern
Compound: AcMg2As2Pd7
Radiation: Cu Kα (weighted mean of Kα1 and Kα2)
Structure: the PBE geometry in Alexandria
Lines closer than 0.1° are merged.

Most intense lines, 10° ≤ 2θ ≤ 90°, most intense first:
two_theta, intensity
37.2, 100
33.4, 52
43.4, 39
37.4, 39
42.7, 31
74.8, 25
57.7, 25
44.7, 25
61.7, 20
29.4, 18

Crystal structure
```
12
Lattice="2.9845 -3.0070 0.0000 2.9845 3.0070 0.0000 0.0000 0.0000 12.1663" Properties=species:S:1:pos:R:3 pbc="T T T"
Ac 0.0000 0.0000 0.0000
Mg 0.0000 0.0000 4.0721
Mg 0.0000 0.0000 8.0941
As 2.9845 0.0000 3.7924
As 2.9845 0.0000 8.3739
Pd 1.4922 1.5035 2.2599
Pd 1.4922 1.5035 9.9063
Pd 2.9845 1.3489 6.0831
Pd 1.4922 -1.5035 2.2599
Pd 1.4922 -1.5035 9.9063
Pd 2.9845 0.0000 0.0000
Pd 2.9845 -1.3489 6.0831
```

***

Record 4
Simulated X-ray powder pattern
Compound: CsK2IrO6
Radiation: Cu Kα (weighted mean of Kα1 and Kα2)
Structure: the PBE geometry in Alexandria
Lines closer than 0.1° are merged.

Most intense lines, 10° ≤ 2θ ≤ 90°, most intense first:
two_theta, intensity
19.2, 100
26.6, 93
28.0, 82
47.8, 41
39.0, 37
44.7, 26
16.3, 25
46.9, 22
42.9, 18
33.0, 17

Crystal structure
```
10
Lattice="3.3521 1.9353 5.0876 -3.3521 1.9353 5.0876 0.0000 -3.8706 5.0876" Properties=species:S:1:pos:R:3 pbc="T T T"
Cs 0.0000 0.0000 0.0000
K 0.0000 0.0000 4.1427
K 0.0000 0.0000 11.1200
Ir 0.0000 0.0000 7.6314
O -0.7450 -1.3309 6.5481
O -1.5251 -0.0202 8.7147
O -0.7800 1.3107 6.5481
O 0.7800 -1.3107 8.7147
O 1.5251 0.0202 6.5481
O 0.7450 1.3308 8.7147
```

***

Record 5
Simulated X-ray powder pattern
Compound: LaY3Er5
Radiation: Cu Kα (weighted mean of Kα1 and Kα2)
Structure: the PBE geometry in Alexandria
Lines closer than 0.1° are merged.

Most intense lines, 10° ≤ 2θ ≤ 90°, most intense first:
two_theta, intensity
31.2, 100
28.9, 51
29.1, 49
43.4, 19
46.7, 17
52.9, 17
32.6, 13
34.7, 13
56.8, 13
37.8, 12

Crystal structure
```
18
Lattice="-4.3410 4.3410 7.6419 4.3410 -4.3410 7.6419 4.3410 4.3410 -7.6419" Properties=species:S:1:pos:R:3 pbc="T T T"
La 4.3410 0.0000 3.8209
La 0.0000 4.3410 3.8209
Y 5.3725 1.0315 0.0000
Y 0.0000 0.0000 3.8209
Y 1.0315 3.3095 0.0000
Y 3.3095 1.0315 7.6419
Y 0.0000 0.0000 11.4628
Y -1.0315 3.3095 7.6419
Er 0.0000 0.0000 0.0000
Er 2.5856 1.7554 -2.0885
Er 2.5856 -1.7554 5.5534
Er 2.5856 1.7554 2.0885
Er 2.5856 -1.7554 9.7303
Er 0.0000 0.0000 7.6419
Er 1.7554 6.0964 -2.0885
Er 1.7554 2.5856 5.5534
Er 1.7554 6.0964 2.0885
Er 1.7554 2.5856 9.7303
```

***

Record 6
Simulated X-ray powder pattern
Compound: Tb6HoTh4
Radiation: Cu Kα (weighted mean of Kα1 and Kα2)
Structure: the PBE geometry in Alexandria
Lines closer than 0.1° are merged.

Most intense lines, 10° ≤ 2θ ≤ 90°, most intense first:
two_theta, intensity
31.5, 100
30.5, 66
33.8, 39
36.4, 38
27.0, 26
63.3, 26
54.9, 20
28.8, 18
41.2, 18
31.8, 16

Crystal structure
```
11
Lattice="-1.7176 2.9277 17.8783 1.7176 -2.9277 17.8783 1.7176 2.9277 -17.8783" Properties=species:S:1:pos:R:3 pbc="T T T"
Tb 0.0000 0.0000 3.4108
Tb 0.0000 0.0000 9.5609
Tb 0.0000 0.0000 13.1885
Tb 0.0000 0.0000 22.5681
Tb 0.0000 0.0000 26.1957
Tb 0.0000 0.0000 32.3458
Ho 1.7176 0.0000 0.0000
Th 1.7176 0.0000 6.5113
Th 1.7176 0.0000 16.3197
Th 0.0000 2.9277 1.5586
Th 0.0000 2.9277 11.3670
```